No. 1
Starting from DFT lattice parameters and positions (GGA+U), the XRD peak list of BaNaSmWO6 was computed for Cu Ka.

Largest 6 diffraction maxima, sorted by position, 2θ = 10–90°:
2theta	d [Å]	intensity	hkl
20.86	4.259	26	2 0 0
29.67	3.011	100	2 2 0
42.45	2.129	30	4 0 0
52.64	1.739	41	4 2 2
61.60	1.506	19	4 4 0
85.27	1.138	22	6 4 2

Structural model:
Unit cell a=8.5174 b=8.5174 c=8.5174 alpha=90.00 beta=90.00 gamma=90.00
Space group F-43m (No. 216)
One atom of each set of equivalent atoms:
Ba (0.0000, 0.0000, 0.0000) x4
Na (0.0000, 0.0000, 0.5000) x4
Sm (0.2500, 0.2500, 0.2500) x4
W (0.2500, 0.2500, 0.7500) x4
O (0.0204, 0.2500, 0.7500) x24


No. 2
Starting from DFT lattice parameters and positions (GGA+U), the XRD peak list of Fe5P3O17 was computed for Cu Ka.

Largest 6 diffraction maxima, sorted by position, 2θ = 10–90°:
2theta	d [Å]	intensity	hkl
18.18	4.880	35	0 1 1
18.94	4.685	72	1 1 1
25.87	3.443	50	0 3 1
26.45	3.370	58	1 4 0
28.03	3.183	100	2 3 1
37.41	2.404	32	5 3 1

Structural model:
Unit cell a=16.7501 b=13.7455 c=5.2201 alpha=90.00 beta=90.00 gamma=90.00
Space group Ama2 (No. 40)
One atom of each set of equivalent atoms:
Fe (0.0000, 0.0000, 0.0000) x4
Fe (0.1394, 0.1727, 0.7362) x8
Fe (0.1566, 0.4278, 0.4966) x8
P (0.0441, 0.3479, 0.0031) x8
P (0.2500, 0.0174, 0.4914) x4
O (0.0424, 0.1853, 0.5234) x8
O (0.0579, 0.4135, 0.7581) x8
O (0.0634, 0.4103, 0.2474) x8
O (0.1047, 0.2656, 0.9953) x8
O (0.1088, 0.0601, 0.9698) x8
O (0.1725, 0.0746, 0.4816) x8
O (0.1889, 0.2903, 0.5292) x8
O (0.2500, 0.1886, 0.8472) x4
O (0.2500, 0.4501, 0.2396) x4
O (0.2500, 0.4518, 0.7449) x4


No. 3
Starting from DFT lattice parameters and positions (GGA+U), the XRD peak list of DyCuW2O8 was computed for Cu Ka.

Largest 6 diffraction maxima, sorted by position, 2θ = 10–90°:
2theta	d [Å]	intensity	hkl
18.51	4.793	57	0 1 -1
26.53	3.360	100	-1 1 1
27.09	3.292	95	1 0 1
30.06	2.973	72	1 1 -1
30.71	2.911	70	1 -2 1
34.73	2.583	70	2 -1 0

Structural model:
Unit cell a=5.1686 b=6.0759 c=6.1131 alpha=108.76 beta=91.88 gamma=114.26
Space group P1 (No. 1)
One atom of each set of equivalent atoms:
Dy (0.0000, 0.0000, 0.0000) x1
Cu (0.5160, 0.0066, 0.5119) x1
W (0.2577, 0.4897, 0.6713) x1
W (0.7577, 0.5142, 0.3391) x1
O (0.0171, 0.2498, 0.7817) x1
O (0.0406, 0.6967, 0.6752) x1
O (0.4715, 0.2998, 0.5348) x1
O (0.4836, 0.2613, 0.0840) x1
O (0.5167, 0.7363, 0.9369) x1
O (0.5502, 0.7081, 0.4872) x1
O (0.9798, 0.7479, 0.2166) x1
O (0.9818, 0.3137, 0.3293) x1


No. 4
Starting from DFT lattice parameters and positions (GGA+U), the XRD peak list of Na2MgFeF7 was computed for Cu Ka.

Largest 6 diffraction maxima, sorted by position, 2θ = 10–90°:
2theta	d [Å]	intensity	hkl
16.95	5.230	78	1 0 1
24.08	3.696	50	1 2 1
29.26	3.053	100	0 2 2
29.93	2.986	81	2 2 0
49.32	1.848	90	2 4 2
57.93	1.592	38	2 2 4

Structural model:
Unit cell a=7.2797 b=10.4411 c=7.5263 alpha=90.00 beta=90.00 gamma=90.00
Space group Imma (No. 74)
One atom of each set of equivalent atoms:
Na (0.0000, 0.0000, 0.0000) x4
Na (0.2500, 0.2500, 0.2500) x4
Mg (0.2500, 0.2500, 0.7500) x4
Fe (0.0000, 0.0000, 0.5000) x4
F (0.0000, 0.0927, 0.2700) x8
F (0.0000, 0.2500, 0.8465) x4
F (0.1976, 0.1157, 0.5672) x16


No. 5
Starting from DFT lattice parameters and positions (GGA+U), the XRD peak list of La2VReO6 was computed for Cu Ka.

Largest 6 diffraction maxima, sorted by position, 2θ = 10–90°:
2theta	d [Å]	intensity	hkl
19.18	4.627	17	1 1 1
31.58	2.833	100	2 2 0
45.26	2.003	30	4 0 0
56.24	1.636	40	4 2 2
65.94	1.417	18	4 4 0
74.95	1.267	17	6 2 0

Structural model:
Unit cell a=8.0137 b=8.0137 c=8.0137 alpha=90.00 beta=90.00 gamma=90.00
Space group Fm-3m (No. 225)
One atom of each set of equivalent atoms:
La (0.2500, 0.2500, 0.2500) x8
V (0.0000, 0.0000, 0.0000) x4
Re (0.0000, 0.0000, 0.5000) x4
O (0.0000, 0.0000, 0.2514) x24


No. 6
Starting from DFT lattice parameters and positions (GGA+U), the XRD peak list of MgFe6O10F2 was computed for Cu Ka.

Largest 6 diffraction maxima, sorted by position, 2θ = 10–90°:
2theta	d [Å]	intensity	hkl
24.82	3.587	96	1 1 1
27.12	3.288	100	-1 1 1
34.91	2.570	32	1 -1 2
35.23	2.547	29	1 1 -2
35.59	2.523	48	0 0 3
36.08	2.490	29	2 0 0

Structural model:
Unit cell a=4.9959 b=5.6018 c=7.6272 alpha=83.64 beta=86.44 gamma=86.06
Space group P1 (No. 1)
One atom of each set of equivalent atoms:
Mg (0.0000, 0.0000, 0.0000) x1
Fe (0.0259, 0.3886, 0.1878) x1
Fe (0.4712, 0.8117, 0.1586) x1
Fe (0.5078, 0.5067, 0.5018) x1
Fe (0.5295, 0.1900, 0.8415) x1
Fe (0.9744, 0.6127, 0.8110) x1
Fe (0.9987, 0.0002, 0.4992) x1
O (0.1675, 0.6656, 0.0558) x1
O (0.1719, 0.2868, 0.4103) x1
O (0.3049, 0.7965, 0.4032) x1
O (0.3184, 0.1428, 0.0704) x1
O (0.3253, 0.4672, 0.7305) x1
O (0.6749, 0.5331, 0.2693) x1
O (0.6811, 0.8598, 0.9281) x1
O (0.6954, 0.2052, 0.5979) x1
O (0.8220, 0.7107, 0.5884) x1
O (0.8341, 0.3354, 0.9440) x1
F (0.1639, 0.9673, 0.7484) x1
F (0.8314, 0.0284, 0.2507) x1